The following is a theoretical powder X-ray diffraction pattern of K2Si2Pb2O. It was derived from a structure optimized by DFT (PBE), using Cu Kα, 1.54184 Å.
Peak positions follow from Bragg's law for the DFT cell and can differ from measured ones.

Atomic structure:
abc: 5.5738 5.5738 6.6779
angles: 90.00 90.00 120.00
Positions (direct):
K  0.3333  0.6667  0.0000
K  0.6667  0.3333  0.0000
Si  0.0000  0.0000  0.2686
Si  0.0000  0.0000  0.7314
Pb  0.3333  0.6667  0.5000
Pb  0.6667  0.3333  0.5000
O  0.0000  0.0000  0.0000

Main lines, in order of falling intensity (2θ from 5° to 70°):
| Position (°2θ) | I/Imax |
| --- | --- |
| 32.12 | 100 |
| 13.26 | 77 |
| 42.24 | 60 |
| 34.88 | 51 |
| 32.61 | 49 |
| 22.73 | 43 |
| 26.70 | 34 |
| 18.38 | 33 |
| 65.13 | 25 |
| 57.57 | 19 |
| 57.26 | 19 |
| 46.42 | 18 |

***

The following is a theoretical powder X-ray diffraction pattern of K2Sm2PbO6. It was derived from a structure optimized by DFT (PBE), using Cu Kα, 1.54184 Å.
Peak positions follow from Bragg's law for the DFT cell and can differ from measured ones.

Atomic structure:
abc: 6.1029 6.1029 6.6883
angles: 98.02 98.02 120.02
Positions (direct):
K  0.1626  0.8374  0.0000
K  0.8374  0.1626  0.0000
Sm  0.3345  0.6655  0.5000
Sm  0.6655  0.3345  0.5000
Pb  0.0000  0.0000  0.5000
O  0.0479  0.3784  0.6796
O  0.2531  0.2531  0.3203
O  0.3784  0.0479  0.6796
O  0.6216  0.9521  0.3204
O  0.7469  0.7469  0.6797
O  0.9521  0.6216  0.3204

Main lines, in order of falling intensity (2θ from 5° to 70°):
| Position (°2θ) | I/Imax |
| --- | --- |
| 13.79 | 100 |
| 34.59 | 46 |
| 30.86 | 33 |
| 29.58 | 25 |
| 27.78 | 25 |
| 35.24 | 22 |
| 51.91 | 21 |
| 30.52 | 17 |
| 48.46 | 15 |
| 44.02 | 14 |
| 29.78 | 13 |
| 37.85 | 10 |

***

The following is a theoretical powder X-ray diffraction pattern of KTa5Pb2O15. It was derived from a structure optimized by DFT (PBE), using Cu Kα, 1.54184 Å.
Peak positions follow from Bragg's law for the DFT cell and can differ from measured ones.

Atomic structure:
abc: 3.9605 12.8203 12.8337
angles: 90.00 90.00 90.00
Positions (direct):
K  0.0000  0.0812  0.0000
K  0.0000  0.9188  0.5000
Ta  0.5000  0.0324  0.2566
Ta  0.5000  0.1717  0.5463
Ta  0.5000  0.2545  0.8265
Ta  0.5000  0.3164  0.1163
Ta  0.5000  0.4589  0.4150
Ta  0.5000  0.5411  0.9150
Ta  0.5000  0.6836  0.6163
Ta  0.5000  0.7455  0.3265
Ta  0.5000  0.8283  0.0463
Ta  0.5000  0.9676  0.7566
Pb  0.0000  0.2377  0.3365
Pb  0.0000  0.4736  0.7054
Pb  0.0000  0.5264  0.2054
Pb  0.0000  0.7623  0.8365
O  0.0000  0.0481  0.2492
O  0.0000  0.1723  0.5245
O  0.0000  0.2552  0.8245
O  0.0000  0.3330  0.1216
O  0.0000  0.4568  0.3921
O  0.0000  0.5432  0.8921
O  0.0000  0.6670  0.6216
O  0.0000  0.7448  0.3245
O  0.0000  0.8277  0.0245
O  0.0000  0.9519  0.7492
O  0.5000  0.0372  0.6140
O  0.5000  0.0970  0.8278
O  0.5000  0.1114  0.3907
O  0.5000  0.1840  0.1860
O  0.5000  0.2513  0.6698
O  0.5000  0.2508  0.9807
O  0.5000  0.3151  0.4610
O  0.5000  0.3995  0.2527
O  0.5000  0.4092  0.8246
O  0.5000  0.4681  0.0426
O  0.5000  0.5319  0.5426
O  0.5000  0.5908  0.3246
O  0.5000  0.6005  0.7527
O  0.5000  0.6849  0.9610
O  0.5000  0.7487  0.1698
O  0.5000  0.7492  0.4807
O  0.5000  0.8160  0.6860
O  0.5000  0.8886  0.8907
O  0.5000  0.9030  0.3278
O  0.5000  0.9628  0.1140

Main lines, in order of falling intensity (2θ from 5° to 70°):
| Position (°2θ) | I/Imax |
| --- | --- |
| 31.57 | 100 |
| 31.18 | 71 |
| 55.74 | 59 |
| 27.36 | 56 |
| 28.70 | 54 |
| 33.87 | 42 |
| 29.95 | 33 |
| 25.03 | 33 |
| 45.82 | 31 |
| 56.47 | 28 |
| 44.68 | 27 |
| 27.83 | 24 |

***

The following is a theoretical powder X-ray diffraction pattern of KTePbO4. It was derived from a structure optimized by DFT (PBE), using Cu Kα, 1.54184 Å.
Peak positions follow from Bragg's law for the DFT cell and can differ from measured ones.

Atomic structure:
abc: 6.2394 6.4651 8.1132
angles: 90.00 112.47 90.00
Positions (direct):
K  0.1374  0.2500  0.1688
K  0.8626  0.7500  0.8312
Te  0.3138  0.2500  0.7412
Te  0.6862  0.7500  0.2588
Pb  0.2708  0.7500  0.4818
Pb  0.7292  0.2500  0.5182
O  0.0476  0.2500  0.8124
O  0.0984  0.2500  0.4967
O  0.4604  0.5037  0.7073
O  0.4604  0.9963  0.7073
O  0.5396  0.0037  0.2927
O  0.5396  0.4963  0.2927
O  0.9016  0.7500  0.5033
O  0.9524  0.7500  0.1876

Main lines, in order of falling intensity (2θ from 5° to 70°):
| Position (°2θ) | I/Imax |
| --- | --- |
| 26.69 | 100 |
| 11.80 | 81 |
| 27.59 | 41 |
| 35.97 | 35 |
| 28.61 | 25 |
| 18.12 | 24 |
| 20.66 | 23 |
| 48.25 | 21 |
| 40.17 | 18 |
| 41.99 | 16 |
| 30.11 | 16 |
| 49.54 | 15 |

***

The following is a theoretical powder X-ray diffraction pattern of K2Ti3PbO8. It was derived from a structure optimized by DFT (PBE), using Cu Kα, 1.54184 Å.
Peak positions follow from Bragg's law for the DFT cell and can differ from measured ones.

Atomic structure:
abc: 7.4047 7.4047 7.4047
angles: 48.76 48.76 48.76
Positions (direct):
K  0.0000  0.0000  0.0000
K  0.3654  0.3654  0.3654
Ti  0.3648  0.3648  0.8743
Ti  0.3648  0.8743  0.3648
Ti  0.8743  0.3648  0.3648
Pb  0.7559  0.7559  0.7559
O  0.1023  0.1023  0.5461
O  0.1023  0.5461  0.1023
O  0.1427  0.1427  0.1427
O  0.1739  0.6292  0.6292
O  0.5461  0.1023  0.1023
O  0.5835  0.5835  0.5835
O  0.6292  0.1739  0.6292
O  0.6292  0.6292  0.1739

Main lines, in order of falling intensity (2θ from 5° to 70°):
| Position (°2θ) | I/Imax |
| --- | --- |
| 32.36 | 100 |
| 24.81 | 92 |
| 28.40 | 84 |
| 19.07 | 67 |
| 29.22 | 53 |
| 34.19 | 46 |
| 13.60 | 45 |
| 17.36 | 44 |
| 51.31 | 37 |
| 50.89 | 31 |
| 60.59 | 29 |
| 47.34 | 26 |